(1)
# Ac2TlPbO6
Calculated powder diffractogram, copper Kα. Input: a DFT-relaxed cell (GGA-PBE, Alexandria).
Kinematic intensities with the Lorentz-polarization factor, no thermal factor.

Structure:
```
10
Lattice="3.101 1.790 5.265 -3.101 1.790 5.265 0.000 -3.581 5.265" Properties=species:S:1:pos:R:3 pbc="T T T"
Ac 0.000 0.000 0.000
Ac 0.000 0.000 7.894
Tl 0.000 0.000 11.444
Pb 0.000 0.000 3.537
O -1.070 -2.151 7.166
O -1.778 0.223 9.802
O -1.327 2.002 7.166
O 0.696 -1.651 9.802
O 2.398 0.149 7.166
O 1.082 1.429 9.802
```

Top 6 peaks for 2θ = 10–90°, sorted by position:
d 3.181, 28.05 deg, I = 100; d 3.101, 28.79 deg, I = 98; d 2.221, 40.63 deg, I = 43; d 1.806, 50.55 deg, I = 44; d 1.790, 51.01 deg, I = 26; d 1.394, 67.16 deg, I = 17

---

(2)
# K3Tl4Ag2
Calculated powder diffractogram, copper Kα. Input: a DFT-relaxed cell (GGA-PBE, Alexandria).
Kinematic intensities with the Lorentz-polarization factor, no thermal factor.

Structure:
```
9
Lattice="5.240 0.000 0.000 -2.593 6.532 0.000 -2.522 -2.430 9.081" Properties=species:S:1:pos:R:3 pbc="T T T"
K 0.000 0.000 0.000
K -2.548 3.866 5.850
K 2.672 0.236 3.231
Tl 0.022 4.250 0.391
Tl 0.074 3.065 3.325
Tl 0.051 1.037 5.755
Tl 0.103 -0.149 8.690
Ag -2.561 0.331 6.877
Ag 2.685 3.771 2.203
```

Top 6 peaks for 2θ = 10–90°, sorted by position:
d 6.310, 14.04 deg, I = 100; d 5.953, 14.88 deg, I = 45; d 2.765, 32.38 deg, I = 46; d 2.729, 32.82 deg, I = 44; d 2.717, 32.97 deg, I = 44; d 2.620, 34.23 deg, I = 54

---

(3)
# NaTi2O3
Calculated powder diffractogram, copper Kα. Input: a DFT-relaxed cell (GGA-PBE, Alexandria).
Kinematic intensities with the Lorentz-polarization factor, no thermal factor.

Structure:
```
6
Lattice="3.060 0.000 0.000 -1.530 2.650 0.000 0.000 0.000 7.807" Properties=species:S:1:pos:R:3 pbc="T T T"
Na 0.000 0.000 0.000
Ti 0.000 1.767 5.056
Ti 1.530 0.883 2.751
O 0.000 0.000 3.904
O 0.000 1.767 1.612
O 1.530 0.883 6.195
```

Top 6 peaks for 2θ = 10–90°, sorted by position:
d 7.807, 11.33 deg, I = 59; d 2.509, 35.79 deg, I = 28; d 2.192, 41.17 deg, I = 100; d 1.571, 58.76 deg, I = 23; d 1.530, 60.52 deg, I = 28; d 1.255, 75.83 deg, I = 12